Entry 1:
Diffraction record for ErMn6. The X-ray powder pattern is theoretical, not measured: it uses DFT lattice parameters and positions (GGA-PBE) and Cu Kα X-rays.
No peak broadening, texture or thermal motion is included.

Peak list (10 most intense, 2θ from 5° to 70°, most intense first)
h k l	2θ (°)	intensity
3 1 1	40.0	100
2 1 3	40.1	94
1 0 4	37.8	60
1 1 1	23.5	34
3 3 1	69.6	33
1 0 5	47.0	33
0 2 0	37.6	32
0 1 3	32.8	27
2 2 0	44.2	24
0 2 2	41.9	24

Atomic structure:
```
data_ErMn6
_space_group_name_H-M_alt 'P n m a'
_space_group_IT_number 62
_space_group_name_Hall '-P 2ac 2n'
_cell_length_a 7.939
_cell_length_b 4.778
_cell_length_c 9.975
_cell_angle_alpha 90.00
_cell_angle_beta 90.00
_cell_angle_gamma 90.00
loop_
_atom_site_label
_atom_site_type_symbol
_atom_site_fract_x
_atom_site_fract_y
_atom_site_fract_z
_atom_site_occupancy
Er1 Er 0.246 0.250 0.066 1
Mn1 Mn 0.055 0.750 0.091 1
Mn2 Mn 0.070 0.015 0.309 1
Mn3 Mn 0.085 0.250 0.527 1
Mn4 Mn 0.139 0.750 0.858 1
Mn5 Mn 0.193 0.250 0.758 1
```

Entry 2:
Diffraction record for ErMn2. The X-ray powder pattern is theoretical, not measured: it uses DFT lattice parameters and positions (GGA-PBE) and Cu Kα X-rays.
No peak broadening, texture or thermal motion is included.

Peak list (10 most intense, 2θ from 5° to 70°, most intense first)
h k l	2θ (°)	intensity
3 1 0	35.2	100
1 1 -3	36.7	82
3 1 -2	40.1	78
0 2 2	39.9	77
3 1 2	42.4	76
1 1 3	37.9	71
0 2 0	33.6	57
2 2 1	41.5	49
2 0 -3	36.5	41
2 2 -1	40.7	39

Atomic structure:
```
data_ErMn2
_space_group_name_H-M_alt 'C 1 2/m 1'
_space_group_IT_number 12
_space_group_name_Hall '-C 2y'
_cell_length_a 8.729
_cell_length_b 5.328
_cell_length_c 8.556
_cell_angle_alpha 90.00
_cell_angle_beta 93.86
_cell_angle_gamma 90.00
loop_
_atom_site_label
_atom_site_type_symbol
_atom_site_fract_x
_atom_site_fract_y
_atom_site_fract_z
_atom_site_occupancy
Er1 Er 0.166 0.000 0.436 1
Er2 Er 0.168 0.000 0.062 1
Mn1 Mn 0.000 0.500 0.000 1
Mn2 Mn 0.000 0.500 0.500 1
Mn3 Mn 0.085 0.255 0.745 1
Mn4 Mn 0.168 0.500 0.246 1
```

Entry 3:
Diffraction record for SmEr2MnN4. The X-ray powder pattern is theoretical, not measured: it uses DFT lattice parameters and positions (GGA-PBE) and Cu Kα X-rays.
No peak broadening, texture or thermal motion is included.

Peak list (10 most intense, 2θ from 5° to 70°, most intense first)
h k l	2θ (°)	intensity
1 1 2	31.9	100
1 3 2	39.1	80
0 2 3	28.3	72
0 4 0	31.5	60
1 3 1	36.6	38
0 0 4	31.4	34
1 3 5	54.3	34
1 1 5	48.9	31
2 4 0	64.3	31
0 4 4	45.1	24

Atomic structure:
```
data_SmEr2MnN4
_space_group_name_H-M_alt 'C m c m'
_space_group_IT_number 63
_space_group_name_Hall '-C 2c 2'
_cell_length_a 3.369
_cell_length_b 11.357
_cell_length_c 11.395
_cell_angle_alpha 90.00
_cell_angle_beta 90.00
_cell_angle_gamma 90.00
loop_
_atom_site_label
_atom_site_type_symbol
_atom_site_fract_x
_atom_site_fract_y
_atom_site_fract_z
_atom_site_occupancy
Sm1 Sm 0.000 0.111 0.250 1
Er1 Er 0.000 0.368 0.044 1
Mn1 Mn 0.000 0.155 0.750 1
N1 N 0.000 0.000 0.000 1
N2 N 0.000 0.266 0.630 1
N3 N 0.000 0.423 0.250 1
```